Calculated XRD peak list of IrRuAu for Cu Kα (λ = 1.5418 Å), from a cell relaxed with GGA-PBE.
Peak positions follow from Bragg's law for the DFT cell and can differ from measured ones.

The 10 most intense peaks (2θ = 5–70°), by intensity:
two_theta, intensity
39.4, 100
46.0, 33
66.7, 20
45.4, 15
67.2, 11
33.0, 8
29.8, 6
63.8, 5
55.8, 4
14.8, 4

Structure:
Lattice parameters (Å, degrees): 6.308 6.308 6.308 154.47 154.47 36.42
Fractional positions:
Ir1 0.000 0.000 0.000
Ru1 0.358 0.358 0.000
Au1 0.681 0.681 0.000

***

Calculated XRD peak list of YHo6Sc3 for Cu Kα (λ = 1.5418 Å), from a cell relaxed with GGA-PBE.
Peak positions follow from Bragg's law for the DFT cell and can differ from measured ones.

The 10 most intense peaks (2θ = 5–70°), by intensity:
two_theta, intensity
32.5, 100
29.7, 91
30.1, 82
33.2, 81
32.3, 63
35.8, 61
34.8, 59
59.3, 39
58.6, 36
29.0, 34

Structure:
Lattice parameters (Å, degrees): 11.190 11.190 6.204 90.00 90.00 130.64
Fractional positions:
Y1 0.158 0.842 0.500
Y2 0.842 0.158 0.000
Ho1 0.014 0.986 0.721
Ho2 0.104 0.541 0.187
Ho3 0.263 0.377 0.931
Ho4 0.303 0.697 0.720
Ho5 0.377 0.263 0.431
Ho6 0.459 0.896 0.187
Ho7 0.541 0.104 0.687
Ho8 0.623 0.737 0.931
Ho9 0.697 0.303 0.220
Ho10 0.737 0.623 0.431
Ho11 0.896 0.459 0.687
Ho12 0.986 0.014 0.221
Sc1 0.042 0.294 0.526
Sc2 0.294 0.042 0.026
Sc3 0.417 0.583 0.409
Sc4 0.583 0.417 0.909
Sc5 0.706 0.958 0.526
Sc6 0.958 0.706 0.026

***

Repeat the second record exactly.
Calculated XRD peak list of YHo6Sc3 for Cu Kα (λ = 1.5418 Å), from a cell relaxed with GGA-PBE.
Peak positions follow from Bragg's law for the DFT cell and can differ from measured ones.

The 10 most intense peaks (2θ = 5–70°), by intensity:
two_theta, intensity
32.5, 100
29.7, 91
30.1, 82
33.2, 81
32.3, 63
35.8, 61
34.8, 59
59.3, 39
58.6, 36
29.0, 34

Structure:
Lattice parameters (Å, degrees): 11.190 11.190 6.204 90.00 90.00 130.64
Fractional positions:
Y1 0.158 0.842 0.500
Y2 0.842 0.158 0.000
Ho1 0.014 0.986 0.721
Ho2 0.104 0.541 0.187
Ho3 0.263 0.377 0.931
Ho4 0.303 0.697 0.720
Ho5 0.377 0.263 0.431
Ho6 0.459 0.896 0.187
Ho7 0.541 0.104 0.687
Ho8 0.623 0.737 0.931
Ho9 0.697 0.303 0.220
Ho10 0.737 0.623 0.431
Ho11 0.896 0.459 0.687
Ho12 0.986 0.014 0.221
Sc1 0.042 0.294 0.526
Sc2 0.294 0.042 0.026
Sc3 0.417 0.583 0.409
Sc4 0.583 0.417 0.909
Sc5 0.706 0.958 0.526
Sc6 0.958 0.706 0.026